Theoretical powder X-ray diffraction pattern
Compound: La5Tb
Radiation: Cu Ka
Structure: a DFT-relaxed cell (GGA-PBE, Alexandria)
Neutral-atom scattering factors, no anomalous dispersion.

Principal peaks in the range 10 to 80 degrees two-theta, by angle:
- 29.6°, rel. 100, (1 3 1)
- 34.3°, rel. 51, (2 0 0)
- 49.2°, rel. 36, (2 6 0)
- 58.5°, rel. 43, (3 3 1)
- 61.4°, rel. 12, (2 6 2)
- 72.2°, rel. 4, (0 0 4)
- 72.3°, rel. 2, (4 0 0)
- 79.9°, rel. 18, (3 9 1)

Structure:
Lattice parameters (Å, degrees): 5.2298 15.7051 5.2375 90.00 90.00 90.00
Space group Cmmm (No. 65)
Inequivalent atoms, fractional coordinates:
La1 0.0000 0.0000 0.0000 x2
La2 0.0000 0.1655 0.5000 x4
La3 0.0000 0.3333 0.0000 x4
Tb1 0.0000 0.5000 0.5000 x2

Theoretical powder X-ray diffraction pattern
Compound: B3C5
Radiation: Cu Ka
Structure: a DFT-relaxed cell (GGA-PBE, Alexandria)
Neutral-atom scattering factors, no anomalous dispersion.

Principal peaks in the range 10 to 80 degrees two-theta, by angle:
- 19.7°, rel. 4, (0 0 6)
- 29.7°, rel. 1, (0 0 9)
- 40.0°, rel. 29, (0 0 12)
- 42.9°, rel. 100, (1 0 4)
- 44.2°, rel. 2, (0 1 5)
- 47.3°, rel. 2, (1 0 7)
- 50.6°, rel. 3, (0 0 15)
- 70.0°, rel. 23, (1 0 16)
- 73.2°, rel. 2, (0 1 17)
- 74.1°, rel. 25, (1 1 0)

Structure:
Lattice parameters (Å, degrees): 2.5591 2.5591 27.0652 90.00 90.00 120.00
Space group R3m (No. 160, hexagonal axes)
Inequivalent atoms, fractional coordinates:
B1 0.0000 0.0000 0.0000 x3
B2 0.0000 0.0000 0.2515 x3
B3 0.0000 0.0000 0.5473 x3
C1 0.0000 0.0000 0.0605 x3
C2 0.0000 0.0000 0.3084 x3
C3 0.0000 0.0000 0.4884 x3
C4 0.0000 0.0000 0.7448 x3
C5 0.0000 0.0000 0.8035 x3

Theoretical powder X-ray diffraction pattern
Compound: Ac6HgSb5
Radiation: Cu Ka
Structure: a DFT-relaxed cell (GGA-PBE, Alexandria)
Neutral-atom scattering factors, no anomalous dispersion.

Principal peaks in the range 10 to 80 degrees two-theta, by angle:
- 22.7°, rel. 3, (0 0 2)
- 22.7°, rel. 8, (2 0 0)
- 26.3°, rel. 100, (1 3 1)
- 37.6°, rel. 79, (2 0 2)
- 44.3°, rel. 4, (1 3 3)
- 46.4°, rel. 29, (0 0 4)
- 54.2°, rel. 14, (2 6 2)
- 61.2°, rel. 38, (3 3 3)
- 67.7°, rel. 19, (1 3 5)
- 67.8°, rel. 9, (1 9 -3)

Structure:
Lattice parameters (Å, degrees): 8.2970 14.3560 8.3041 90.00 109.46 90.00
Space group C2/m (No. 12)
Inequivalent atoms, fractional coordinates:
Ac1 0.2422 0.0000 0.2559 x4
Ac2 0.2434 0.1717 0.7465 x8
Hg1 0.0000 0.5000 0.0000 x2
Sb1 0.0000 0.0000 0.5000 x2
Sb2 0.0000 0.1665 0.0000 x4
Sb3 0.0000 0.3344 0.5000 x4

Theoretical powder X-ray diffraction pattern
Compound: SrMg2Al
Radiation: Cu Ka
Structure: a DFT-relaxed cell (GGA-PBE, Alexandria)
Neutral-atom scattering factors, no anomalous dispersion.

Principal peaks in the range 10 to 80 degrees two-theta, by angle:
- 20.7°, rel. 32, (1 1 1)
- 23.9°, rel. 16, (2 0 0)
- 34.1°, rel. 100, (2 2 0)
- 40.2°, rel. 18, (3 1 1)
- 49.0°, rel. 17, (4 0 0)
- 53.7°, rel. 8, (3 3 1)
- 55.2°, rel. 7, (4 2 0)
- 61.0°, rel. 36, (4 2 2)
- 65.2°, rel. 6, (5 1 1)
- 71.8°, rel. 11, (4 4 0)

Structure:
Lattice parameters (Å, degrees): 7.4379 7.4379 7.4379 90.00 90.00 90.00
Space group F-43m (No. 216)
Inequivalent atoms, fractional coordinates:
Sr1 0.0000 0.0000 0.0000 x4
Mg1 0.0000 0.0000 0.5000 x4
Mg2 0.2500 0.2500 0.2500 x4
Al1 0.2500 0.2500 0.7500 x4

Theoretical powder X-ray diffraction pattern
Compound: AgAsXe2F10
Radiation: Cu Ka
Structure: a DFT-relaxed cell (GGA-PBE, Alexandria)
Neutral-atom scattering factors, no anomalous dispersion.

Principal peaks in the range 10 to 80 degrees two-theta, by angle:
- 24.6°, rel. 100, (2 0 2)
- 27.9°, rel. 17, (0 0 4)
- 28.8°, rel. 37, (2 2 0)
- 40.5°, rel. 20, (2 2 4)
- 41.1°, rel. 11, (4 0 0)
- 47.4°, rel. 19, (2 0 6)
- 48.5°, rel. 34, (4 2 2)
- 50.4°, rel. 16, (4 0 4)
- 64.5°, rel. 15, (4 2 6)
- 74.5°, rel. 9, (6 2 4)

Structure:
Lattice parameters (Å, degrees): 8.7758 8.7758 12.7987 90.00 90.00 90.00
Space group I4/mcm (No. 140)
Inequivalent atoms, fractional coordinates:
Ag1 0.0000 0.5000 0.0000 x4
As1 0.0000 0.0000 0.0000 x4
Xe1 0.2500 0.2500 0.2500 x8
F1 0.0000 0.0000 0.1385 x8
F2 0.0768 0.1876 0.0000 x16
F3 0.1167 0.3833 0.3531 x16

Theoretical powder X-ray diffraction pattern
Compound: NaSr6Hg5
Radiation: Cu Ka
Structure: a DFT-relaxed cell (GGA-PBE, Alexandria)
Neutral-atom scattering factors, no anomalous dispersion.

Principal peaks in the range 10 to 80 degrees two-theta, by angle:
- 12.1°, rel. 4, (0 1 1)
- 21.9°, rel. 12, (0 2 0)
- 31.2°, rel. 100, (2 0 0)
- 38.5°, rel. 4, (2 2 0)
- 44.7°, rel. 18, (0 4 0)
- 50.3°, rel. 5, (1 4 3)
- 55.5°, rel. 25, (2 4 0)
- 55.6°, rel. 13, (3 2 3)
- 65.1°, rel. 9, (2 4 6)
- 74.0°, rel. 13, (1 6 3)

Structure:
Lattice parameters (Å, degrees): 5.7199 8.1090 17.2086 90.00 90.00 90.00
Space group Immm (No. 71)
Inequivalent atoms, fractional coordinates:
Na1 0.0000 0.0000 0.0000 x2
Sr1 0.0000 0.2334 0.5000 x4
Sr2 0.0000 0.2583 0.1726 x8
Hg1 0.0000 0.0000 0.3326 x4
Hg2 0.0000 0.5000 0.0000 x2
Hg3 0.0000 0.5000 0.3445 x4

Theoretical powder X-ray diffraction pattern
Compound: CdGaAuF6
Radiation: Cu Ka
Structure: a DFT-relaxed cell (GGA-PBE, Alexandria)
Neutral-atom scattering factors, no anomalous dispersion.

Principal peaks in the range 10 to 80 degrees two-theta, by angle:
- 25.4°, rel. 100, (1 0 2)
- 31.3°, rel. 38, (1 1 0)
- 36.3°, rel. 14, (0 0 4)
- 40.7°, rel. 32, (2 0 2)
- 48.6°, rel. 39, (1 1 4)
- 52.2°, rel. 29, (2 1 2)
- 55.7°, rel. 14, (3 0 0)
- 68.3°, rel. 15, (3 0 4)
- 71.3°, rel. 11, (4 -1 2)
- 77.0°, rel. 19, (0 0 8)

Structure:
Lattice parameters (Å, degrees): 5.7175 5.7175 9.9165 90.00 90.00 120.00
Space group P-31c (No. 163)
Inequivalent atoms, fractional coordinates:
Cd1 0.3333 0.6667 0.2500 x2
Ga1 0.3333 0.6667 0.7500 x2
Au1 0.0000 0.0000 0.0000 x2
F1 0.0443 0.3943 0.6414 x12

Theoretical powder X-ray diffraction pattern
Compound: MnMo3
Radiation: Cu Ka
Structure: a DFT-relaxed cell (GGA-PBE, Alexandria)
Neutral-atom scattering factors, no anomalous dispersion.

Principal peaks in the range 10 to 80 degrees two-theta, by angle:
- 20.2°, rel. 4, (1 1 0)
- 35.4°, rel. 2, (3 0 0)
- 41.1°, rel. 100, (2 2 0)
- 46.2°, rel. 1, (2 1 1)
- 55.4°, rel. 1, (4 1 0)
- 59.6°, rel. 16, (4 0 1)
- 63.6°, rel. 1, (3 3 0)
- 74.9°, rel. 24, (2 4 1)
- 75.0°, rel. 8, (6 0 0)
- 78.5°, rel. 1, (5 1 1)

Structure:
Lattice parameters (Å, degrees): 8.7754 8.7754 2.6913 90.00 90.00 120.00
Space group R-3m (No. 166, hexagonal axes)
Inequivalent atoms, fractional coordinates:
Mn1 0.0000 0.0000 0.0000 x3
Mo1 0.0000 0.5000 0.0000 x9

Theoretical powder X-ray diffraction pattern
Compound: Tb6GeAs3P2
Radiation: Cu Ka
Structure: a DFT-relaxed cell (GGA-PBE, Alexandria)
Neutral-atom scattering factors, no anomalous dispersion.

Principal peaks in the range 10 to 80 degrees two-theta, by angle:
- 26.4°, rel. 9, (2 0 2)
- 26.6°, rel. 27, (3 1 0)
- 30.8°, rel. 100, (1 1 -2)
- 44.0°, rel. 37, (5 1 2)
- 44.3°, rel. 37, (0 2 0)
- 52.3°, rel. 9, (2 2 2)
- 54.9°, rel. 19, (6 2 0)
- 64.2°, rel. 12, (2 2 -4)
- 72.6°, rel. 11, (4 2 4)
- 73.1°, rel. 16, (1 3 -2)

Structure:
Lattice parameters (Å, degrees): 17.8598 4.0917 8.2409 90.00 102.91 90.00
Space group C2/m (No. 12)
Inequivalent atoms, fractional coordinates:
Tb1 0.0025 0.0000 0.2555 x4
Tb2 0.1684 0.5000 0.0908 x4
Tb3 0.1691 0.5000 0.5795 x4
Ge1 0.0000 0.5000 0.0000 x2
As1 0.0000 0.5000 0.5000 x2
As2 0.1661 0.0000 0.8335 x4
P1 0.1674 0.0000 0.3352 x4

Theoretical powder X-ray diffraction pattern
Compound: Sr2Ac5Ag2Ir2
Radiation: Cu Ka
Structure: a DFT-relaxed cell (GGA-PBE, Alexandria)
Neutral-atom scattering factors, no anomalous dispersion.

Principal peaks in the range 10 to 80 degrees two-theta, by angle:
- 12.7°, rel. 90, (0 0 4)
- 15.5°, rel. 57, (1 0 1)
- 25.0°, rel. 52, (1 1 4)
- 30.6°, rel. 100, (2 0 0)
- 32.7°, rel. 42, (1 0 9)
- 33.2°, rel. 38, (2 0 4)
- 40.2°, rel. 22, (2 0 8)
- 43.8°, rel. 38, (2 2 0)
- 44.9°, rel. 32, (2 0 10)
- 45.4°, rel. 34, (2 1 9)

Structure:
Lattice parameters (Å, degrees): 5.8494 5.8494 27.9125 90.00 90.00 90.00
Space group I4/mmm (No. 139)
Inequivalent atoms, fractional coordinates:
Sr1 0.0000 0.0000 0.2163 x4
Ac1 0.0000 0.0000 0.0000 x2
Ac2 0.0000 0.5000 0.1115 x8
Ag1 0.0000 0.0000 0.3311 x4
Ir1 0.0000 0.0000 0.1018 x4

Theoretical powder X-ray diffraction pattern
Compound: Li5In2Hg
Radiation: Cu Ka
Structure: a DFT-relaxed cell (GGA-PBE, Alexandria)
Neutral-atom scattering factors, no anomalous dispersion.

Principal peaks in the range 10 to 80 degrees two-theta, by angle:
- 20.2°, rel. 54, (1 0 1)
- 25.8°, rel. 38, (0 0 4)
- 27.3°, rel. 100, (1 1 0)
- 37.9°, rel. 75, (1 1 4)
- 38.9°, rel. 31, (2 0 0)
- 44.3°, rel. 15, (2 1 1)
- 47.3°, rel. 29, (2 0 4)
- 48.2°, rel. 15, (2 1 3)
- 63.6°, rel. 15, (3 1 0)
- 69.8°, rel. 23, (3 1 4)

Structure:
Lattice parameters (Å, degrees): 4.6282 4.6282 13.7886 90.00 90.00 90.00
Space group I4/mmm (No. 139)
Inequivalent atoms, fractional coordinates:
Li1 0.0000 0.0000 0.0000 x2
Li2 0.0000 0.5000 0.1202 x8
In1 0.0000 0.0000 0.2458 x4
Hg1 0.0000 0.0000 0.5000 x2

Theoretical powder X-ray diffraction pattern
Compound: ThFe2B4
Radiation: Cu Ka
Structure: a DFT-relaxed cell (GGA-PBE, Alexandria)
Neutral-atom scattering factors, no anomalous dispersion.

Principal peaks in the range 10 to 80 degrees two-theta, by angle:
- 11.9°, rel. 63, (0 0 2)
- 23.9°, rel. 48, (0 0 4)
- 28.2°, rel. 73, (0 1 1)
- 29.5°, rel. 37, (1 0 1)
- 34.1°, rel. 77, (1 0 3)
- 36.2°, rel. 26, (0 0 6)
- 41.2°, rel. 57, (0 1 5)
- 42.2°, rel. 100, (1 1 2)
- 52.2°, rel. 24, (1 0 7)
- 65.2°, rel. 34, (1 1 8)

Structure:
Lattice parameters (Å, degrees): 3.0958 3.2378 14.8763 90.00 90.00 90.00
Space group Immm (No. 71)
Inequivalent atoms, fractional coordinates:
Th1 0.0000 0.0000 0.0000 x2
Fe1 0.0000 0.5000 0.3023 x4
B1 0.0000 0.0000 0.3878 x4
B2 0.0000 0.5000 0.1608 x4

Theoretical powder X-ray diffraction pattern
Compound: SrTm5Pb6
Radiation: Cu Ka
Structure: a DFT-relaxed cell (GGA-PBE, Alexandria)
Neutral-atom scattering factors, no anomalous dispersion.

Principal peaks in the range 10 to 80 degrees two-theta, by angle:
- 32.1°, rel. 100, (1 2 1)
- 35.3°, rel. 20, (2 0 -1)
- 35.7°, rel. 19, (0 0 3)
- 40.3°, rel. 13, (0 4 0)
- 54.6°, rel. 11, (2 4 -1)
- 55.0°, rel. 11, (0 4 3)
- 61.3°, rel. 16, (3 2 0)
- 61.9°, rel. 15, (1 2 4)
- 67.0°, rel. 12, (2 4 2)
- 68.1°, rel. 11, (1 6 1)

Structure:
Lattice parameters (Å, degrees): 5.0848 8.9481 7.9507 90.00 108.58 90.00
Space group P2/m (No. 10)
Inequivalent atoms, fractional coordinates:
Sr1 0.0000 0.0000 0.0000 x1
Tm1 0.0000 0.5000 0.0000 x1
Tm2 0.3274 0.0000 0.6554 x2
Tm3 0.3343 0.5000 0.6698 x2
Pb1 0.1700 0.2562 0.3392 x4
Pb2 0.5000 0.2562 0.0000 x2